[1]
Structure and computed powder diffractogram of RbMg6Nb (a structure optimized by DFT (GGA-PBE); copper Kα).

Crystal structure
abc: 6.7816 6.7816 4.4921
angles: 90.00 90.00 90.00
Space group P4/mmm (No. 123)
Unique sites:
Rb: 0.0000 0.0000 0.0000 x1
Mg: 0.0000 0.5000 0.0000 x2
Mg: 0.2857 0.2857 0.5000 x4
Nb: 0.5000 0.5000 0.0000 x1

Principal peaks in the range 2θ from 10° to 80°, by intensity:
d_spacing, I (rel.)
2.706, 100
4.795, 37
2.398, 33
3.278, 25
1.437, 21
1.639, 20
3.391, 17
2.246, 15
4.492, 15
1.935, 14

[2]
Structure and computed powder diffractogram of RbMg14Nb (a structure optimized by DFT (GGA-PBE); copper Kα).

Crystal structure
abc: 10.3681 6.6865 11.1599
angles: 90.00 90.00 90.00
Space group Amm2 (No. 38)
Unique sites:
Rb: 0.0000 0.0000 0.0000 x2
Mg: 0.0000 0.2502 0.2484 x4
Mg: 0.2407 0.0000 0.6584 x4
Mg: 0.2559 0.2332 0.4143 x8
Mg: 0.2656 0.0000 0.1713 x4
Mg: 0.5000 0.0000 0.4969 x2
Mg: 0.5000 0.0000 0.9945 x2
Mg: 0.5000 0.2449 0.7462 x4
Nb: 0.0000 0.0000 0.4843 x2

Principal peaks in the range 2θ from 10° to 80°, by intensity:
d_spacing, I (rel.)
2.509, 100
2.457, 43
2.592, 35
2.868, 26
4.914, 21
1.480, 19
1.377, 17
1.923, 16
1.625, 15
2.790, 14

[3]
Structure and computed powder diffractogram of RbMg6Nb (a structure optimized by DFT (GGA-PBE); copper Kα).

Crystal structure
abc: 5.1586 6.7133 11.3176
angles: 90.00 90.00 90.00
Space group Amm2 (No. 38)
Unique sites:
Rb: 0.0000 0.0000 0.0000 x2
Mg: 0.0000 0.0000 0.5124 x2
Mg: 0.0000 0.2265 0.7418 x4
Mg: 0.5000 0.0000 0.1854 x2
Mg: 0.5000 0.2320 0.4221 x4
Nb: 0.5000 0.0000 0.6696 x2

Principal peaks in the range 2θ from 10° to 80°, by intensity:
d_spacing, I (rel.)
2.519, 100
3.847, 45
2.481, 41
2.579, 35
5.774, 22
3.812, 22
3.289, 21
2.887, 20
1.477, 18
1.644, 18

[4]
Structure and computed powder diffractogram of RbMg14Nb (a structure optimized by DFT (GGA-PBE); copper Kα).

Crystal structure
abc: 6.5606 6.5606 10.3632
angles: 90.00 90.00 120.00
Space group P-6m2 (No. 187)
Unique sites:
Rb: 0.0000 0.0000 0.0000 x1
Mg: 0.0092 0.5046 0.0000 x3
Mg: 0.1681 0.3363 0.2704 x6
Mg: 0.5020 0.0039 0.5000 x3
Mg: 0.6667 0.3333 0.2450 x2
Nb: 0.0000 0.0000 0.5000 x1

Principal peaks in the range 2θ from 10° to 80°, by intensity:
d_spacing, I (rel.)
2.491, 100
5.682, 30
2.841, 28
3.829, 25
2.591, 23
1.386, 18
1.640, 18
1.914, 17
1.476, 16
1.370, 14

[5]
Structure and computed powder diffractogram of MgNb4S12 (a structure optimized by DFT (GGA-PBE); copper Kα).

Crystal structure
abc: 4.9945 6.8194 9.5073
angles: 89.16 88.72 89.98
Space group P1 (No. 1)
Unique sites:
Mg: 0.0000 0.0000 0.0000 x1
Nb: 0.0070 0.0352 0.3348 x1
Nb: 0.0084 0.4909 0.3142 x1
Nb: 0.4917 0.2861 0.6311 x1
Nb: 0.4921 0.7353 0.6224 x1
S: 0.2446 0.0050 0.7669 x1
S: 0.2562 0.7741 0.1798 x1
S: 0.2594 0.2558 0.1566 x1
S: 0.2646 0.5126 0.8010 x1
S: 0.5016 0.0214 0.4431 x1
S: 0.5044 0.5037 0.4205 x1
S: 0.6679 0.5123 0.8165 x1
S: 0.7242 0.0048 0.7694 x1
S: 0.7637 0.2558 0.1586 x1
S: 0.7675 0.7734 0.1816 x1
S: 0.9976 0.2792 0.5297 x1
S: 0.9989 0.7463 0.5146 x1

Principal peaks in the range 2θ from 10° to 80°, by intensity:
d_spacing, I (rel.)
2.751, 100
2.790, 94
4.380, 90
4.462, 84
2.105, 57
1.982, 54
2.426, 43
2.400, 43
2.129, 42
1.966, 42

[6]
Structure and computed powder diffractogram of MgNb4S12 (a structure optimized by DFT (GGA-PBE); copper Kα).

Crystal structure
abc: 4.9952 6.8184 9.5090
angles: 89.19 88.39 89.91
Space group P1 (No. 1)
Unique sites:
Mg: 0.0000 0.0000 0.0000 x1
Nb: 0.0145 0.2560 0.3796 x1
Nb: 0.0145 0.7094 0.3708 x1
Nb: 0.4927 0.5031 0.6855 x1
Nb: 0.4937 0.9564 0.6708 x1
S: 0.0005 0.4895 0.5800 x1
S: 0.0017 0.9719 0.5603 x1
S: 0.2372 0.7368 0.8445 x1
S: 0.2472 0.2194 0.8203 x1
S: 0.2537 0.4812 0.2069 x1
S: 0.2619 0.9887 0.2298 x1
S: 0.5066 0.2457 0.4882 x1
S: 0.5079 0.7168 0.4724 x1
S: 0.7221 0.2177 0.8217 x1
S: 0.7271 0.7376 0.8453 x1
S: 0.7678 0.9886 0.2350 x1
S: 0.8527 0.4802 0.1814 x1

Principal peaks in the range 2θ from 10° to 80°, by intensity:
d_spacing, I (rel.)
2.752, 100
2.789, 96
4.370, 90
4.472, 79
2.397, 48
3.492, 47
1.935, 41
1.963, 41
4.752, 39
2.430, 38